(1)
Ba2CdPb: computed X-ray diffraction stick pattern (Cu Kα), based on a crystal structure in the Materials Project, relaxed with PBE.
No peak broadening, texture or thermal motion is included.

Largest 12 diffraction maxima, sorted by position, 2θ = 10–80°:
2θ = 17.84°, I = 5; 2θ = 20.63°, I = 1; 2θ = 29.34°, I = 100; 2θ = 34.55°, I = 3; 2θ = 41.97°, I = 19; 2θ = 45.95°, I = 2; 2θ = 52.04°, I = 40; 2θ = 55.45°, I = 1; 2θ = 60.86°, I = 13; 2θ = 63.97°, I = 1; 2θ = 68.98°, I = 17; 2θ = 76.68°, I = 4

Structure:
```
Ba2CdPb
1.0
8.6099 0.0000 0.0000
0.0000 8.6099 0.0000
0.0000 0.0000 8.6099
Ba Cd Pb
8 4 4
direct
0.2500 0.2500 0.2500
0.2500 0.2500 0.7500
0.2500 0.7500 0.2500
0.2500 0.7500 0.7500
0.7500 0.2500 0.2500
0.7500 0.2500 0.7500
0.7500 0.7500 0.2500
0.7500 0.7500 0.7500
0.0000 0.0000 0.0000
0.0000 0.5000 0.5000
0.5000 0.0000 0.5000
0.5000 0.5000 0.0000
0.0000 0.0000 0.5000
0.0000 0.5000 0.0000
0.5000 0.0000 0.0000
0.5000 0.5000 0.5000
```


(2)
Rb2InGaBr6: computed X-ray diffraction stick pattern (Cu Kα), based on a crystal structure in the Materials Project, relaxed with PBE.
No peak broadening, texture or thermal motion is included.

Largest 12 diffraction maxima, sorted by position, 2θ = 10–80°:
2θ = 15.59°, I = 26; 2θ = 22.12°, I = 27; 2θ = 27.18°, I = 61; 2θ = 31.48°, I = 100; 2θ = 35.31°, I = 13; 2θ = 38.81°, I = 12; 2θ = 45.12°, I = 71; 2θ = 53.47°, I = 25; 2θ = 56.05°, I = 24; 2θ = 65.72°, I = 11; 2θ = 72.49°, I = 10; 2θ = 74.69°, I = 30

Structure:
```
Rb2InGaBr6
1.0
0.0000 5.6834 5.6834
5.6834 0.0000 5.6834
5.6834 5.6834 0.0000
Rb In Ga Br
2 1 1 6
direct
0.2500 0.2500 0.2500
0.7500 0.7500 0.7500
0.0000 0.0000 0.0000
0.5000 0.5000 0.5000
0.2402 0.2402 0.7598
0.2402 0.7598 0.2402
0.2402 0.7598 0.7598
0.7598 0.2402 0.2402
0.7598 0.2402 0.7598
0.7598 0.7598 0.2402
```


(3)
AlCu3N3: computed X-ray diffraction stick pattern (Cu Kα), based on a crystal structure in the Materials Project, relaxed with PBE.
No peak broadening, texture or thermal motion is included.

Largest 10 diffraction maxima, sorted by position, 2θ = 10–80°:
2θ = 21.84°, I = 6; 2θ = 31.07°, I = 22; 2θ = 38.30°, I = 100; 2θ = 44.52°, I = 93; 2θ = 50.12°, I = 3; 2θ = 55.29°, I = 7; 2θ = 64.79°, I = 54; 2θ = 69.25°, I = 1; 2θ = 73.59°, I = 3; 2θ = 77.84°, I = 36

Structure:
```
AlCu3N3
1.0
4.0701 0.0000 0.0000
0.0000 4.0701 0.0000
0.0000 0.0000 4.0701
Al Cu N
1 3 3
direct
0.0000 0.0000 0.0000
0.0000 0.5000 0.5000
0.5000 0.0000 0.5000
0.5000 0.5000 0.0000
0.0000 0.0000 0.5000
0.0000 0.5000 0.0000
0.5000 0.0000 0.0000
```


(4)
SrMnSb2: computed X-ray diffraction stick pattern (Cu Kα), based on a crystal structure in the Materials Project, relaxed with PBE.
No peak broadening, texture or thermal motion is included.

Largest 12 diffraction maxima, sorted by position, 2θ = 10–80°:
2θ = 22.76°, I = 15; 2θ = 25.25°, I = 43; 2θ = 29.60°, I = 27; 2θ = 30.54°, I = 35; 2θ = 32.48°, I = 100; 2θ = 40.86°, I = 47; 2θ = 42.29°, I = 25; 2θ = 43.73°, I = 22; 2θ = 51.86°, I = 19; 2θ = 59.16°, I = 15; 2θ = 61.38°, I = 15; 2θ = 69.14°, I = 21

Structure:
```
SrMnSb2
1.0
4.4170 0.0000 0.0000
0.0000 4.4170 0.0000
0.0000 0.0000 11.7201
Sr Mn Sb
2 2 4
direct
0.2500 0.2500 0.2331
0.7500 0.7500 0.7669
0.2500 0.7500 0.5000
0.7500 0.2500 0.5000
0.2500 0.2500 0.6411
0.2500 0.7500 0.0000
0.7500 0.2500 0.0000
0.7500 0.7500 0.3589
```


(5)
HfC: computed X-ray diffraction stick pattern (Cu Kα), based on a crystal structure in the Materials Project, relaxed with PBE.
No peak broadening, texture or thermal motion is included.

Largest 5 diffraction maxima, sorted by position, 2θ = 10–80°:
2θ = 33.37°, I = 100; 2θ = 38.72°, I = 64; 2θ = 55.91°, I = 44; 2θ = 66.69°, I = 43; 2θ = 70.08°, I = 15

Structure:
```
HfC
1.0
4.6513 0.0000 0.0000
0.0000 4.6513 0.0000
0.0000 0.0000 4.6513
Hf C
4 4
direct
0.0000 0.0000 0.0000
0.0000 0.5000 0.5000
0.5000 0.0000 0.5000
0.5000 0.5000 0.0000
0.0000 0.0000 0.5000
0.0000 0.5000 0.0000
0.5000 0.0000 0.0000
0.5000 0.5000 0.5000
```


(6)
Na4Ga3Si3ClO12: computed X-ray diffraction stick pattern (Cu Kα), based on a crystal structure in the Materials Project, relaxed with PBE.
No peak broadening, texture or thermal motion is included.

Largest 12 diffraction maxima, sorted by position, 2θ = 10–80°:
2θ = 13.84°, I = 54; 2θ = 19.61°, I = 12; 2θ = 21.96°, I = 20; 2θ = 24.08°, I = 100; 2θ = 31.25°, I = 17; 2θ = 34.32°, I = 36; 2θ = 37.16°, I = 36; 2θ = 42.36°, I = 14; 2θ = 44.78°, I = 11; 2θ = 57.60°, I = 23; 2θ = 63.34°, I = 15; 2θ = 77.49°, I = 11

Structure:
```
Na4Ga3Si3ClO12
1.0
9.0520 0.0000 0.0000
0.0000 9.0520 0.0000
0.0000 0.0000 9.0520
Na Ga Si Cl O
8 6 6 2 24
direct
0.1733 0.1733 0.1733
0.1733 0.8267 0.8267
0.3267 0.3267 0.6733
0.3267 0.6733 0.3267
0.6733 0.3267 0.3267
0.6733 0.6733 0.6733
0.8267 0.1733 0.8267
0.8267 0.8267 0.1733
0.0000 0.2500 0.5000
0.0000 0.7500 0.5000
0.2500 0.5000 0.0000
0.5000 0.0000 0.2500
0.5000 0.0000 0.7500
0.7500 0.5000 0.0000
0.0000 0.5000 0.2500
0.0000 0.5000 0.7500
0.2500 0.0000 0.5000
0.5000 0.2500 0.0000
0.5000 0.7500 0.0000
0.7500 0.0000 0.5000
0.0000 0.0000 0.0000
0.5000 0.5000 0.5000
0.0726 0.3657 0.6515
0.0726 0.6343 0.3485
0.1343 0.4274 0.1515
0.1343 0.5726 0.8485
0.1515 0.1343 0.4274
0.1515 0.8657 0.5726
0.3485 0.0726 0.6343
0.3485 0.9274 0.3657
0.3657 0.3485 0.9274
0.3657 0.6515 0.0726
0.4274 0.1515 0.1343
0.4274 0.8485 0.8657
0.5726 0.1515 0.8657
0.5726 0.8485 0.1343
0.6343 0.3485 0.0726
0.6343 0.6515 0.9274
0.6515 0.0726 0.3657
0.6515 0.9274 0.6343
0.8485 0.1343 0.5726
0.8485 0.8657 0.4274
0.8657 0.4274 0.8485
0.8657 0.5726 0.1515
0.9274 0.3657 0.3485
0.9274 0.6343 0.6515
```


(7)
Zr7Sb4: computed X-ray diffraction stick pattern (Cu Kα), based on a crystal structure in the Materials Project, relaxed with PBE.
No peak broadening, texture or thermal motion is included.

Largest 12 diffraction maxima, sorted by position, 2θ = 10–80°:
2θ = 31.76°, I = 33; 2θ = 33.01°, I = 84; 2θ = 33.82°, I = 99; 2θ = 33.94°, I = 49; 2θ = 35.44°, I = 59; 2θ = 35.61°, I = 71; 2θ = 35.87°, I = 74; 2θ = 36.00°, I = 100; 2θ = 36.82°, I = 57; 2θ = 37.52°, I = 39; 2θ = 38.30°, I = 62; 2θ = 39.35°, I = 50

Structure:
```
Zr7Sb4
1.0
8.5571 0.0000 0.0000
0.0000 11.2508 0.0000
-4.1473 0.0000 10.3976
Zr Sb
28 16
direct
0.0112 0.0783 0.2105
0.0112 0.4217 0.7105
0.0137 0.2056 0.9304
0.0137 0.2944 0.4304
0.2029 0.0001 0.5553
0.2029 0.4999 0.0553
0.3396 0.7385 0.5180
0.3396 0.7615 0.0180
0.3540 0.2232 0.1721
0.3540 0.2768 0.6721
0.3660 0.0587 0.8653
0.3660 0.4413 0.3653
0.3985 0.5598 0.8409
0.3985 0.9402 0.3409
0.6015 0.0598 0.6591
0.6015 0.4402 0.1591
0.6340 0.5587 0.6347
0.6340 0.9413 0.1347
0.6460 0.7232 0.3279
0.6460 0.7768 0.8279
0.6604 0.2385 0.9820
0.6604 0.2615 0.4820
0.7971 0.9999 0.4447
0.7971 0.5001 0.9447
0.9863 0.7056 0.5696
0.9863 0.7944 0.0696
0.9888 0.5783 0.2895
0.9888 0.9217 0.7895
0.0121 0.1540 0.6617
0.0121 0.3460 0.1617
0.2266 0.5077 0.5616
0.2266 0.9924 0.0616
0.2856 0.6832 0.2520
0.2856 0.8168 0.7520
0.3196 0.1765 0.4210
0.3196 0.3235 0.9210
0.6804 0.6765 0.0790
0.6804 0.8235 0.5790
0.7144 0.1832 0.2480
0.7144 0.3168 0.7480
0.7734 0.0076 0.9384
0.7734 0.4924 0.4384
0.9879 0.6540 0.8383
0.9879 0.8460 0.3383
```


(8)
Na4Al3Si3ClO12: computed X-ray diffraction stick pattern (Cu Kα), based on a crystal structure in the Materials Project, relaxed with PBE.
No peak broadening, texture or thermal motion is included.

Largest 12 diffraction maxima, sorted by position, 2θ = 10–80°:
2θ = 13.96°, I = 31; 2θ = 19.79°, I = 6; 2θ = 24.30°, I = 100; 2θ = 31.54°, I = 9; 2θ = 34.64°, I = 19; 2θ = 37.51°, I = 23; 2θ = 42.77°, I = 35; 2θ = 58.17°, I = 13; 2θ = 60.15°, I = 6; 2θ = 62.08°, I = 12; 2θ = 63.98°, I = 13; 2θ = 78.32°, I = 12

Structure:
```
Na4Al3Si3ClO12
1.0
8.9707 0.0000 0.0000
0.0000 8.9707 0.0000
0.0000 0.0000 8.9707
Na Al Si Cl O
8 6 6 2 24
direct
0.1776 0.1776 0.1776
0.1776 0.8224 0.8224
0.3224 0.3224 0.6776
0.3224 0.6776 0.3224
0.6776 0.3224 0.3224
0.6776 0.6776 0.6776
0.8224 0.1776 0.8224
0.8224 0.8224 0.1776
0.0000 0.2500 0.5000
0.0000 0.7500 0.5000
0.2500 0.5000 0.0000
0.5000 0.0000 0.2500
0.5000 0.0000 0.7500
0.7500 0.5000 0.0000
0.0000 0.5000 0.2500
0.0000 0.5000 0.7500
0.2500 0.0000 0.5000
0.5000 0.2500 0.0000
0.5000 0.7500 0.0000
0.7500 0.0000 0.5000
0.0000 0.0000 0.0000
0.5000 0.5000 0.5000
0.0625 0.3608 0.6493
0.0625 0.6392 0.3507
0.1392 0.4375 0.1493
0.1392 0.5625 0.8507
0.1493 0.1392 0.4375
0.1493 0.8608 0.5625
0.3507 0.0625 0.6392
0.3507 0.9375 0.3608
0.3608 0.3507 0.9375
0.3608 0.6493 0.0625
0.4375 0.1493 0.1392
0.4375 0.8507 0.8608
0.5625 0.1493 0.8608
0.5625 0.8507 0.1392
0.6392 0.3507 0.0625
0.6392 0.6493 0.9375
0.6493 0.0625 0.3608
0.6493 0.9375 0.6392
0.8507 0.1392 0.5625
0.8507 0.8608 0.4375
0.8608 0.4375 0.8507
0.8608 0.5625 0.1493
0.9375 0.3608 0.3507
0.9375 0.6392 0.6493
```